Ba2LuCu3O6: computed powder XRD pattern (Cu Kα), based on a DFT-relaxed cell (GGA-PBE, Alexandria).
Peak positions follow from Bragg's law for the DFT cell and can differ from measured ones.

Most intense lines, 10 to 90 degrees two-theta, by angle:
2θ = 22.0°, d = 4.046 Å, I 10, hkl 0 0 3; 2θ = 23.1°, d = 3.855 Å, I 15, hkl 1 0 0; 2θ = 32.1°, d = 2.791 Å, I 100, hkl 1 0 3; 2θ = 32.9°, d = 2.726 Å, I 61, hkl 1 1 0; 2θ = 37.7°, d = 2.384 Å, I 25, hkl 1 0 4; 2θ = 39.9°, d = 2.260 Å, I 16, hkl 1 1 3; 2θ = 47.2°, d = 1.927 Å, I 32, hkl 2 0 0; 2θ = 56.7°, d = 1.625 Å, I 12, hkl 1 1 6; 2θ = 58.2°, d = 1.586 Å, I 36, hkl 2 1 3; 2θ = 61.9°, d = 1.499 Å, I 11, hkl 2 1 4

Structure:
abc: 3.855 3.855 12.137
angles: 90.00 90.00 90.00
Atoms (fractional coordinates):
1 Ba 0.000 0.000 0.197
2 Ba 0.000 0.000 0.803
3 Lu 0.000 0.000 0.500
4 Cu 0.500 0.500 0.000
5 Cu 0.500 0.500 0.372
6 Cu 0.500 0.500 0.628
7 O 0.000 0.500 0.386
8 O 0.000 0.500 0.614
9 O 0.500 0.000 0.386
10 O 0.500 0.000 0.614
11 O 0.500 0.500 0.150
12 O 0.500 0.500 0.850